Starting from the PBE+U geometry in Alexandria, the powder X-ray diffraction pattern of Mn2O3F was simulated for Cu Kα.

Largest 8 diffraction maxima, in order of rising 2θ, 2θ = 10–90°:
| h k l | two_theta | I_rel |
| --- | --- | --- |
| 0 0 2 | 26.85 | 89 |
| 0 2 0 | 28.21 | 91 |
| 5 1 1 | 35.52 | 100 |
| 5 0 2 | 40.29 | 17 |
| 5 1 3 | 53.25 | 54 |
| 5 3 1 | 54.81 | 53 |
| 10 0 0 | 61.17 | 17 |
| 5 3 3 | 68.86 | 36 |

```
data_Mn2O3F
_chemical_formula_sum 'Mn20 O30 F10'
_symmetry_space_group_name_H-M 'A m m 2'
_symmetry_Int_Tables_number 38
_symmetry_space_group_name_Hall 'A 2 -2'
_cell_length_a 15.1519
_cell_length_b 6.3257
_cell_length_c 6.6417
_cell_angle_alpha 90.00
_cell_angle_beta 90.00
_cell_angle_gamma 90.00
loop_
_atom_site_label
_atom_site_type_symbol
_atom_site_fract_x
_atom_site_fract_y
_atom_site_fract_z
Mn1 Mn 0.0000 0.0000 0.0000
Mn2 Mn 0.1002 0.0000 0.4674
Mn3 Mn 0.2011 0.0000 0.9957
Mn4 Mn 0.3008 0.0000 0.4620
Mn5 Mn 0.4005 0.0000 0.9813
Mn6 Mn 0.5000 0.0000 0.5069
O1 O 0.0000 0.1942 0.4797
O2 O 0.0993 0.0000 0.1771
O3 O 0.2007 0.1948 0.4721
O4 O 0.3012 0.0000 0.1727
O5 O 0.4001 0.1920 0.4886
O6 O 0.5000 0.0000 0.7957
F1 F 0.1004 0.0000 0.7863
F2 F 0.2957 0.0000 0.7684
F3 F 0.5000 0.0000 0.2054
```